Entry 1:
Zr4ZnCu: computed XRD peak list (Cu Kα), based on the PBE geometry in Alexandria.

Atomic structure:
```
data_Zr4ZnCu
_chemical_formula_sum 'Zr8 Zn2 Cu2'
_symmetry_space_group_name_H-M 'I 4 2 2'
_symmetry_Int_Tables_number 97
_symmetry_space_group_name_Hall 'I 4 2'
_cell_length_a 6.953
_cell_length_b 6.953
_cell_length_c 4.914
_cell_angle_alpha 90.00
_cell_angle_beta 90.00
_cell_angle_gamma 90.00
loop_
_atom_site_label
_atom_site_type_symbol
_atom_site_fract_x
_atom_site_fract_y
_atom_site_fract_z
Zr1 Zr 0.154 0.346 0.250
Zn1 Zn 0.000 0.000 0.500
Cu1 Cu 0.000 0.000 0.000
```

Largest 10 diffraction maxima, low angle first, 2θ from 10° to 90°:
2theta, d_spacing, Rel. int., (hkl)
34.12, 2.628, 100, 2 1 1
36.56, 2.458, 16, 0 0 2
41.06, 2.198, 68, 3 1 0
45.19, 2.007, 20, 2 0 2
57.81, 1.595, 11, 4 1 1
59.46, 1.555, 7, 4 2 0
64.27, 1.449, 15, 2 1 3
65.81, 1.419, 15, 4 0 2
68.87, 1.363, 19, 3 3 2
76.25, 1.249, 14, 5 2 1

Entry 2:
Rb4LiHg4: computed XRD peak list (Cu Kα), based on the PBE geometry in Alexandria.

Atomic structure:
```
data_Rb4LiHg4
_chemical_formula_sum 'Rb8 Li2 Hg8'
_symmetry_space_group_name_H-M 'I -4 2 m'
_symmetry_Int_Tables_number 121
_symmetry_space_group_name_Hall 'I -4 2'
_cell_length_a 7.504
_cell_length_b 7.504
_cell_length_c 14.981
_cell_angle_alpha 90.00
_cell_angle_beta 90.00
_cell_angle_gamma 90.00
loop_
_atom_site_label
_atom_site_type_symbol
_atom_site_fract_x
_atom_site_fract_y
_atom_site_fract_z
Rb1 Rb 0.214 0.214 0.143
Li1 Li 0.000 0.000 0.500
Hg1 Hg 0.217 0.217 0.396
```

Largest 10 diffraction maxima, low angle first, 2θ from 10° to 90°:
2theta, d_spacing, Rel. int., (hkl)
20.51, 4.330, 30, 1 1 2
23.73, 3.750, 100, 2 0 0
27.23, 3.275, 18, 2 1 1
29.19, 3.060, 22, 1 1 4
32.14, 2.785, 16, 2 1 3
33.81, 2.652, 67, 2 2 0
41.72, 2.165, 20, 2 2 4
51.76, 1.766, 15, 1 1 8
53.60, 1.710, 16, 4 1 3
54.73, 1.677, 16, 4 2 0

Entry 3:
BaSr3Pt: computed XRD peak list (Cu Kα), based on the PBE geometry in Alexandria.

Atomic structure:
```
data_BaSr3Pt
_chemical_formula_sum 'Ba2 Sr6 Pt2'
_symmetry_space_group_name_H-M 'P m n 21'
_symmetry_Int_Tables_number 31
_cell_length_a 8.636
_cell_length_b 7.587
_cell_length_c 7.169
_cell_angle_alpha 90.00
_cell_angle_beta 90.00
_cell_angle_gamma 90.00
loop_
_symmetry_equiv_pos_as_xyz
'x,y,z'
'-x+1/2,-y,z+1/2'
'-x,y,z'
'x+1/2,-y,z+1/2'
loop_
_atom_site_label
_atom_site_type_symbol
_atom_site_fract_x
_atom_site_fract_y
_atom_site_fract_z
Ba1 Ba 0.000 0.166 0.000
Sr1 Sr 0.000 0.820 0.483
Sr2 Sr 0.249 0.343 0.490
Pt1 Pt 0.000 0.502 0.241
```

Largest 10 diffraction maxima, low angle first, 2θ from 10° to 90°:
2theta, d_spacing, Rel. int., (hkl)
11.66, 7.587, 49, 0 1 0
16.07, 5.516, 61, 1 0 1
19.90, 4.462, 61, 1 1 1
26.58, 3.353, 52, 0 2 1
26.81, 3.325, 100, 2 1 1
28.56, 3.126, 25, 1 2 1
34.42, 2.605, 32, 0 2 2
34.60, 2.592, 68, 2 1 2
41.37, 2.183, 55, 2 3 0
44.97, 2.016, 24, 2 1 3